Diffraction record for TmPaSeS. The powder XRD pattern is theoretical, not measured: it uses a structure optimized by DFT (GGA-PBE) and a wavelength of 1.5418 Å.

Most intense lines, 10° ≤ 2θ ≤ 90°, in order of falling intensity:
2theta	I (rel.)	hkl
34.5	100	2 0 1
28.0	57	2 0 -1
49.1	47	0 2 0
40.1	44	2 0 -3
32.2	41	1 1 1
28.9	33	1 1 -1
24.2	29	0 0 2
50.1	17	1 1 3
53.9	17	2 0 3
72.3	16	3 1 -5

Cell and atoms:
Cell: 6.4403 3.7088 7.6628 Å, 90.00 106.34 90.00°
Space group Cm (No. 8)
One atom of each set of equivalent atoms:
Tm  0.0000  0.0000  0.0000 (multiplicity 2)
Pa  0.1804  0.0000  0.5399 (multiplicity 2)
Se  0.2545  0.5000  0.2619 (multiplicity 2)
S  0.0936  0.5000  0.7803 (multiplicity 2)